Structure and computed X-ray diffraction stick pattern of MgV2P2H8O14 (a GGA+U-relaxed structure; copper Kα).
Peak positions follow from Bragg's law for the DFT cell and can differ from measured ones.

Atomic structure:
```
MgV2P2H8O14
1.0
-3.172 3.172 6.780
3.172 -3.172 6.780
3.172 3.172 -6.780
Mg V P H O
1 2 2 8 14
Direct
0.000 0.000 0.000 Mg
0.277 0.277 0.000 V
0.723 0.723 0.000 V
0.250 0.750 0.500 P
0.750 0.250 0.500 P
0.114 0.574 0.807 H
0.232 0.692 0.807 H
0.308 0.114 0.540 H
0.426 0.232 0.540 H
0.574 0.768 0.460 H
0.692 0.886 0.460 H
0.768 0.308 0.193 H
0.886 0.426 0.193 H
0.014 0.337 0.715 O
0.156 0.156 0.000 O
0.179 0.724 0.903 O
0.276 0.179 0.455 O
0.299 0.014 0.677 O
0.337 0.622 0.323 O
0.378 0.701 0.715 O
0.622 0.299 0.285 O
0.663 0.378 0.677 O
0.701 0.986 0.323 O
0.724 0.821 0.545 O
0.821 0.276 0.097 O
0.844 0.844 0.000 O
0.986 0.663 0.285 O
```

Top 12 peaks for 2θ from 5° to 70°, most intense first:
- 13.06 deg, intensity 1000
- 31.13 deg, intensity 809
- 28.13 deg, intensity 383
- 24.18 deg, intensity 320
- 26.29 deg, intensity 273
- 48.67 deg, intensity 178
- 32.23 deg, intensity 177
- 45.19 deg, intensity 132
- 49.18 deg, intensity 119
- 58.16 deg, intensity 116
- 40.20 deg, intensity 113
- 47.46 deg, intensity 95